This entry pairs a crystal structure of Ti7Cl16 with its calculated powder diffractogram. Radiation: Cu Ka. Structure: a GGA-PBE-relaxed structure.
No peak broadening, texture or thermal motion is included.

Cell and atoms:
Unit cell a=10.067 b=14.556 c=6.869 alpha=90.00 beta=90.00 gamma=90.00
Fractional positions:
Ti 0.000 0.000 0.000
Ti 0.039 0.263 0.000
Ti 0.246 0.363 0.203
Ti 0.246 0.363 0.797
Ti 0.254 0.863 0.297
Ti 0.254 0.863 0.703
Ti 0.461 0.763 0.500
Ti 0.500 0.500 0.500
Ti 0.539 0.237 0.500
Ti 0.746 0.137 0.297
Ti 0.746 0.137 0.703
Ti 0.754 0.637 0.203
Ti 0.754 0.637 0.797
Ti 0.961 0.737 0.000
Cl 0.004 0.128 0.245
Cl 0.004 0.128 0.755
Cl 0.014 0.372 0.250
Cl 0.014 0.372 0.750
Cl 0.224 0.754 0.000
Cl 0.230 0.730 0.500
Cl 0.242 0.981 0.000
Cl 0.243 0.993 0.500
Cl 0.257 0.493 0.000
Cl 0.258 0.481 0.500
Cl 0.270 0.230 0.000
Cl 0.276 0.254 0.500
Cl 0.486 0.872 0.250
Cl 0.486 0.872 0.750
Cl 0.496 0.628 0.255
Cl 0.496 0.628 0.745
Cl 0.504 0.372 0.255
Cl 0.504 0.372 0.745
Cl 0.514 0.128 0.250
Cl 0.514 0.128 0.750
Cl 0.724 0.746 0.500
Cl 0.730 0.770 0.000
Cl 0.742 0.519 0.500
Cl 0.743 0.507 0.000
Cl 0.757 0.007 0.500
Cl 0.758 0.019 0.000
Cl 0.770 0.270 0.500
Cl 0.776 0.246 0.000
Cl 0.986 0.628 0.250
Cl 0.986 0.628 0.750
Cl 0.996 0.872 0.245
Cl 0.996 0.872 0.755

Main lines, sorted by position (2θ = 10–90°):
- d 5.898, 2θ = 15.02°, I 61
- d 5.674, 2θ = 15.62°, I 28
- d 2.949, 2θ = 30.31°, I 14
- d 2.837, 2θ = 31.53°, I 16
- d 2.517, 2θ = 35.67°, I 50
- d 2.498, 2θ = 35.96°, I 100
- d 1.819, 2θ = 50.14°, I 15
- d 1.773, 2θ = 51.55°, I 53
- d 1.717, 2θ = 53.35°, I 12
- d 1.475, 2θ = 63.04°, I 12